Diffraction record for Al2H2Se3. The powder X-ray diffraction pattern is calculated, not measured: it uses a cell relaxed with PBE and Cu Kα (weighted mean of Kα1 and Kα2).

Structural model:
a = 4.3639 Å, b = 6.2659 Å, c = 6.8959 Å
α = 68.19°, β = 84.81°, γ = 77.71°
Space group P-1 (No. 2)
One atom of each set of equivalent atoms:
1 Al 0.0547 0.2529 0.0351
2 H 0.2340 0.7508 0.3545
3 Se 0.0963 0.1371 0.7088
4 Se 0.5000 0.5000 0.0000

Top 6 peaks for 15 to 90 degrees two-theta, in order of rising 2θ:
- d 3.690, intensity 74.0
- d 3.654, intensity 86.6
- d 3.358, intensity 100.0
- d 3.137, intensity 77.4
- d 3.050, intensity 49.8
- d 2.618, intensity 43.9